Calculated X-ray diffraction stick pattern of AcLaTb for Cu Kα (weighted mean of Kα1 and Kα2), from a structure optimized by DFT (PBE).
Lines closer than 0.1° are merged.

Top 8 peaks for 10° ≤ 2θ ≤ 80°, in order of rising 2θ:
d = 3.087 Å, rel. 100, hkl 1 0 1
d = 3.061 Å, rel. 31, hkl 0 0 3
d = 2.668 Å, rel. 67, hkl 0 1 2
d = 1.893 Å, rel. 24, hkl 1 1 0
d = 1.881 Å, rel. 25, hkl 1 0 4
d = 1.613 Å, rel. 15, hkl 0 2 1
d = 1.610 Å, rel. 29, hkl 1 1 3
d = 1.602 Å, rel. 14, hkl 0 1 5

Crystal structure
```
data_AcLaTb
_cell_length_a 3.7850
_cell_length_b 3.7850
_cell_length_c 9.1836
_cell_angle_alpha 90.00
_cell_angle_beta 90.00
_cell_angle_gamma 120.00
_symmetry_space_group_name_H-M 'P 3 m 1'
_symmetry_Int_Tables_number 156
loop_
_symmetry_equiv_pos_as_xyz
'x,y,z'
'-y,x-y,z'
'-x+y,-x,z'
'-y,-x,z'
'-x+y,y,z'
'x,x-y,z'
loop_
_atom_site_label
_atom_site_fract_x
_atom_site_fract_y
_atom_site_fract_z
Ac1 0.0000 0.0000 0.0000
La1 0.3333 0.6667 0.6490
Tb1 0.6667 0.3333 0.3308
```